Record 1
Structure and calculated powder X-ray diffraction pattern of Ce2In5Pd4 (a cell relaxed with GGA-PBE; Cu Kα (λ = 1.5418 Å)).
Lines closer than 0.1° are merged.

Peak list (10 most intense, 2θ from 10° to 90°, by intensity)
- 34.20°, 2.622 Å, intensity 100, (2 1 2)
- 38.58°, 2.334 Å, intensity 90, (0 2 0)
- 34.40°, 2.607 Å, intensity 73, (2 1 -3)
- 32.20°, 2.780 Å, intensity 59, (0 1 3)
- 40.41°, 2.232 Å, intensity 52, (2 1 3)
- 40.66°, 2.219 Å, intensity 49, (2 1 -4)
- 36.98°, 2.431 Å, intensity 44, (4 0 -1)
- 33.76°, 2.655 Å, intensity 37, (3 1 -1)
- 39.77°, 2.267 Å, intensity 27, (3 0 -4)
- 54.51°, 1.683 Å, intensity 26, (4 2 -1)

Structural model:
```
data_Ce2In5Pd4
_symmetry_space_group_name_H-M 'P 1'
_symmetry_Int_Tables_number 1
_cell_length_a 9.7228
_cell_length_b 4.6674
_cell_length_c 10.6405
_cell_angle_alpha 90.00
_cell_angle_beta 102.70
_cell_angle_gamma 90.00
loop_
_symmetry_equiv_pos_as_xyz
'x,y,z'
loop_
_atom_site_label
_atom_site_fract_x
_atom_site_fract_y
_atom_site_fract_z
Ce1 0.1737 0.2500 0.2034
Ce2 0.2756 0.2500 0.6108
Ce3 0.7244 0.7500 0.3892
Ce4 0.8263 0.7500 0.7966
In1 0.0774 0.7500 0.4210
In2 0.0940 0.2500 0.8599
In3 0.3329 0.7500 0.8501
In4 0.3819 0.7500 0.4250
In5 0.4174 0.7500 0.1531
In6 0.5826 0.2500 0.8469
In7 0.6181 0.2500 0.5750
In8 0.6671 0.2500 0.1499
In9 0.9060 0.7500 0.1401
In10 0.9226 0.2500 0.5790
Pd1 0.0738 0.7500 0.6839
Pd2 0.1290 0.7500 0.0127
Pd3 0.3772 0.2500 0.0036
Pd4 0.4832 0.2500 0.3151
Pd5 0.5168 0.7500 0.6849
Pd6 0.6228 0.7500 0.9964
Pd7 0.8710 0.2500 0.9873
Pd8 0.9262 0.2500 0.3161
```



Record 2
Structure and calculated powder X-ray diffraction pattern of CeIn4Pd2 (a cell relaxed with GGA-PBE; Cu Kα (λ = 1.5418 Å)).
Lines closer than 0.1° are merged.

Peak list (10 most intense, 2θ from 10° to 90°, by intensity)
- 32.93°, 2.720 Å, intensity 100, (2 1 2)
- 33.75°, 2.656 Å, intensity 81, (5 1 1)
- 39.79°, 2.265 Å, intensity 74, (0 2 0)
- 36.43°, 2.466 Å, intensity 31, (7 0 1)
- 35.44°, 2.533 Å, intensity 30, (6 1 0)
- 31.79°, 2.815 Å, intensity 28, (1 1 2)
- 43.43°, 2.083 Å, intensity 22, (6 1 2)
- 43.23°, 2.093 Å, intensity 21, (2 1 3)
- 55.05°, 1.668 Å, intensity 18, (7 2 1)
- 67.96°, 1.379 Å, intensity 18, (2 3 2)

Structural model:
```
data_CeIn4Pd2
_symmetry_space_group_name_H-M 'P 1'
_symmetry_Int_Tables_number 1
_cell_length_a 18.3344
_cell_length_b 4.5291
_cell_length_c 7.3257
_cell_angle_alpha 90.00
_cell_angle_beta 90.00
_cell_angle_gamma 90.00
loop_
_symmetry_equiv_pos_as_xyz
'x,y,z'
loop_
_atom_site_label
_atom_site_fract_x
_atom_site_fract_y
_atom_site_fract_z
Ce1 0.1420 0.2500 0.0401
Ce2 0.3580 0.7500 0.5401
Ce3 0.6420 0.2500 0.4599
Ce4 0.8580 0.7500 0.9599
In1 0.0334 0.7500 0.8538
In2 0.0706 0.2500 0.5116
In3 0.1860 0.7500 0.3449
In4 0.1912 0.7500 0.7463
In5 0.3088 0.2500 0.2463
In6 0.3140 0.2500 0.8449
In7 0.4294 0.7500 0.0116
In8 0.4666 0.2500 0.3538
In9 0.5334 0.7500 0.6462
In10 0.5706 0.2500 0.9884
In11 0.6860 0.7500 0.1551
In12 0.6912 0.7500 0.7537
In13 0.8088 0.2500 0.2537
In14 0.8140 0.2500 0.6551
In15 0.9294 0.7500 0.4884
In16 0.9666 0.2500 0.1462
Pd1 0.0428 0.7500 0.2386
Pd2 0.2224 0.2500 0.5487
Pd3 0.2776 0.7500 0.0487
Pd4 0.4572 0.2500 0.7386
Pd5 0.5428 0.7500 0.2614
Pd6 0.7224 0.2500 0.9513
Pd7 0.7776 0.7500 0.4513
Pd8 0.9572 0.2500 0.7614
```



- Which formula does entry 2 have?
  CeIn4Pd2



- What is the formula in the second record?
  CeIn4Pd2